Structure and computed powder diffractogram of Sr4IrI3 (a cell relaxed with PBE; Cu Kα (λ = 1.5418 Å)).

The 10 most intense peaks (10° ≤ 2θ ≤ 90°), by angle:
10.83 deg, I = 14, (1 0 0)
22.51 deg, I = 14, (1 2 -1)
25.91 deg, I = 100, (1 2 1)
26.80 deg, I = 53, (2 0 -2)
36.34 deg, I = 35, (3 2 -1)
36.63 deg, I = 14, (0 4 0)
37.30 deg, I = 17, (2 0 2)
38.86 deg, I = 34, (1 2 -3)
45.96 deg, I = 14, (2 4 -2)
48.61 deg, I = 9, (0 0 4)

Cell and atoms:
a = 8.597 Å, b = 9.814 Å, c = 7.887 Å
α = 90.00°, β = 108.21°, γ = 90.00°
Space group P2/c (No. 13)
One atom of each set of equivalent atoms:
Sr (0.194, 0.099, 0.493) (multiplicity 4)
Sr (0.214, 0.320, 0.955) (multiplicity 4)
Ir (0.000, 0.116, 0.750) (multiplicity 2)
I (0.000, 0.402, 0.250) (multiplicity 2)
I (0.500, 0.129, 0.250) (multiplicity 2)
I (0.500, 0.390, 0.750) (multiplicity 2)